# 1
The following is a simulated PXRD pattern of La3Ni4P4O2. It was derived from a DFT-relaxed cell (GGA+U, the Materials Project), using Cu Kα (weighted mean of Kα1 and Kα2).

Principal peaks in the range 10° ≤ 2θ ≤ 80°, most intense first:
| index | d (Å) | 2theta | I_rel |
| --- | --- | --- | --- |
| 1 0 7 | 2.724 | 32.9 | 100 |
| 0 0 10 | 2.598 | 34.5 | 75 |
| 1 1 6 | 2.372 | 37.9 | 70 |
| 1 0 3 | 3.638 | 24.5 | 68 |
| 2 0 0 | 2.005 | 45.2 | 64 |
| 2 1 7 | 1.614 | 57.0 | 40 |
| 2 0 10 | 1.587 | 58.1 | 25 |
| 1 1 12 | 1.721 | 53.2 | 22 |
| 1 0 5 | 3.174 | 28.1 | 20 |
| 2 2 10 | 1.244 | 76.6 | 20 |

Structure:
```
data_La3Ni4P4O2
_chemical_formula_sum 'La6 Ni8 P8 O4'
_symmetry_space_group_name_H-M 'I 4/m m m'
_symmetry_Int_Tables_number 139
_symmetry_space_group_name_Hall '-I 4 2'
_cell_length_a 4.009
_cell_length_b 4.009
_cell_length_c 25.982
_cell_angle_alpha 90.00
_cell_angle_beta 90.00
_cell_angle_gamma 90.00
loop_
_atom_site_label
_atom_site_fract_x
_atom_site_fract_y
_atom_site_fract_z
_atom_site_occupancy
La1 0.000 0.000 0.000 1
La2 0.000 0.000 0.298 1
Ni1 0.000 0.500 0.093 1
P1 0.000 0.000 0.131 1
P2 0.000 0.000 0.450 1
O1 0.000 0.500 0.250 1
```



# 2
The following is a simulated PXRD pattern of Li3Mn2Cr2O8. It was derived from a DFT-relaxed cell (GGA+U, the Materials Project), using Cu Kα (weighted mean of Kα1 and Kα2).

Principal peaks in the range 10° ≤ 2θ ≤ 80°, most intense first:
| index | d (Å) | 2theta | I_rel |
| --- | --- | --- | --- |
| 0 0 2 | 4.870 | 18.2 | 100 |
| 0 2 0 | 4.853 | 18.3 | 34 |
| -2 2 2 | 2.138 | 42.3 | 32 |
| 2 2 2 | 2.107 | 42.9 | 31 |
| 0 4 -4 | 2.076 | 43.6 | 30 |
| -1 3 1 | 2.567 | 35.0 | 12 |
| 2 -2 2 | 2.438 | 36.9 | 9 |
| 0 4 0 | 2.427 | 37.0 | 9 |
| 2 2 0 | 2.537 | 35.4 | 9 |
| 4 0 0 | 1.502 | 61.8 | 8 |

Structure:
```
data_Li3Mn2Cr2O8
_chemical_formula_sum 'Li12 Mn8 Cr8 O32'
_symmetry_space_group_name_H-M 'P -1'
_symmetry_Int_Tables_number 2
_cell_length_a 6.009
_cell_length_b 10.225
_cell_length_c 10.260
_cell_angle_alpha 108.31
_cell_angle_beta 90.24
_cell_angle_gamma 90.74
loop_
_symmetry_equiv_pos_as_xyz
'x,y,z'
'-x,-y,-z'
loop_
_atom_site_label
_atom_site_fract_x
_atom_site_fract_y
_atom_site_fract_z
_atom_site_occupancy
Li1 0.003 0.250 0.246 1
Li2 0.244 0.747 0.994 1
Li3 0.248 0.249 0.503 1
Li4 0.251 0.993 0.245 1
Li5 0.252 0.501 0.756 1
Li6 0.490 0.243 0.749 1
Mn1 0.000 0.000 0.000 1
Mn2 0.000 0.500 0.000 1
Mn3 0.250 0.750 0.499 1
Mn4 0.254 0.250 0.998 1
Mn5 0.500 0.000 0.000 1
Mn6 0.500 0.500 0.500 1
Cr1 0.000 0.000 0.500 1
Cr2 0.000 0.500 0.500 1
Cr3 0.247 0.994 0.749 1
Cr4 0.250 0.502 0.249 1
Cr5 0.500 0.000 0.500 1
Cr6 0.500 0.500 0.000 1
O1 0.007 0.388 0.129 1
O2 0.018 0.112 0.879 1
O3 0.020 0.870 0.615 1
O4 0.027 0.624 0.385 1
O5 0.216 0.884 0.881 1
O6 0.243 0.116 0.103 1
O7 0.248 0.607 0.111 1
O8 0.252 0.618 0.605 1
O9 0.253 0.396 0.388 1
O10 0.253 0.878 0.393 1
O11 0.256 0.106 0.617 1
O12 0.271 0.369 0.886 1
O13 0.472 0.874 0.615 1
O14 0.477 0.383 0.124 1
O15 0.480 0.625 0.384 1
O16 0.493 0.105 0.871 1
```



# 3
The following is a simulated PXRD pattern of Ti5Fe7O18. It was derived from a DFT-relaxed cell (GGA+U, the Materials Project), using Cu Kα (weighted mean of Kα1 and Kα2).

Principal peaks in the range 10° ≤ 2θ ≤ 80°, most intense first:
| index | d (Å) | 2theta | I_rel |
| --- | --- | --- | --- |
| -1 1 3 | 2.778 | 32.2 | 100 |
| 1 1 -4 | 2.585 | 34.7 | 71 |
| 0 2 -1 | 2.762 | 32.4 | 49 |
| 2 0 -1 | 2.577 | 34.8 | 35 |
| 1 -1 0 | 3.768 | 23.6 | 30 |
| 1 1 5 | 1.749 | 52.3 | 26 |
| -2 2 3 | 1.739 | 52.6 | 25 |
| 1 3 -2 | 1.734 | 52.8 | 25 |
| -3 1 4 | 1.523 | 60.8 | 23 |
| 1 -2 2 | 2.260 | 39.9 | 21 |

Structure:
```
data_Ti5Fe7O18
_chemical_formula_sum 'Ti5 Fe7 O18'
_symmetry_space_group_name_H-M 'P 1'
_symmetry_Int_Tables_number 1
_cell_length_a 5.154
_cell_length_b 5.555
_cell_length_c 11.795
_cell_angle_alpha 97.61
_cell_angle_beta 102.58
_cell_angle_gamma 90.07
loop_
_symmetry_equiv_pos_as_xyz
'x,y,z'
loop_
_atom_site_label
_atom_site_fract_x
_atom_site_fract_y
_atom_site_fract_z
_atom_site_occupancy
Ti1 0.000 0.000 0.000 1
Ti2 0.084 0.684 0.191 1
Ti3 0.312 0.346 0.660 1
Ti4 0.650 0.668 0.330 1
Ti5 0.825 0.848 0.668 1
Fe1 0.163 0.177 0.332 1
Fe2 0.246 0.849 0.522 1
Fe3 0.417 0.031 0.863 1
Fe4 0.486 0.507 0.995 1
Fe5 0.591 0.180 0.192 1
Fe6 0.757 0.352 0.523 1
Fe7 0.912 0.516 0.858 1
O1 0.007 0.505 0.689 1
O2 0.094 0.208 0.503 1
O3 0.146 0.245 0.934 1
O4 0.163 0.997 0.701 1
O5 0.199 0.026 0.151 1
O6 0.250 0.773 0.925 1
O7 0.342 0.819 0.354 1
O8 0.403 0.539 0.167 1
O9 0.491 0.583 0.603 1
O10 0.528 0.357 0.813 1
O11 0.536 0.336 0.367 1
O12 0.609 0.089 0.600 1
O13 0.675 0.150 0.020 1
O14 0.739 0.870 0.815 1
O15 0.824 0.914 0.270 1
O16 0.859 0.702 0.490 1
O17 0.871 0.669 0.039 1
O18 0.925 0.451 0.256 1
```



# 4
The following is a simulated PXRD pattern of Na3Mn2P2C2O14. It was derived from a DFT-relaxed cell (GGA+U, the Materials Project), using Cu Kα (weighted mean of Kα1 and Kα2).

Principal peaks in the range 10° ≤ 2θ ≤ 80°, most intense first:
| index | d (Å) | 2theta | I_rel |
| --- | --- | --- | --- |
| 1 1 0 | 5.310 | 16.7 | 100 |
| 0 2 0 | 3.290 | 27.1 | 92 |
| 1 0 2 | 3.446 | 25.9 | 77 |
| 2 0 -4 | 2.599 | 34.5 | 56 |
| 2 1 -2 | 3.683 | 24.2 | 49 |
| 1 1 -2 | 4.078 | 21.8 | 45 |
| 2 2 0 | 2.654 | 33.8 | 38 |
| 0 2 2 | 2.667 | 33.6 | 37 |
| 2 0 -2 | 4.445 | 20.0 | 37 |
| 0 0 2 | 4.554 | 19.5 | 33 |

Structure:
```
data_Na3Mn2P2C2O14
_chemical_formula_sum 'Na6 Mn4 P4 C4 O28'
_symmetry_space_group_name_H-M 'P 1 c 1'
_symmetry_Int_Tables_number 7
_cell_length_a 10.256
_cell_length_b 6.580
_cell_length_c 10.398
_cell_angle_alpha 90.00
_cell_angle_beta 118.85
_cell_angle_gamma 90.00
loop_
_symmetry_equiv_pos_as_xyz
'x,y,z'
'x,-y,z+1/2'
loop_
_atom_site_label
_atom_site_fract_x
_atom_site_fract_y
_atom_site_fract_z
_atom_site_occupancy
Na1 0.000 0.222 0.000 1
Na2 0.482 0.259 0.985 1
Na3 0.483 0.260 0.488 1
Mn1 0.595 0.002 0.312 1
Mn2 0.899 0.498 0.678 1
P1 0.671 0.498 0.816 1
P2 0.819 0.000 0.177 1
C1 0.167 0.498 0.342 1
C2 0.322 0.000 0.150 1
O1 0.069 0.491 0.888 1
O2 0.103 0.488 0.198 1
O3 0.186 0.000 0.072 1
O4 0.305 0.500 0.424 1
O5 0.392 0.000 0.296 1
O6 0.420 0.000 0.100 1
O7 0.572 0.312 0.801 1
O8 0.575 0.314 0.305 1
O9 0.668 0.003 0.531 1
O10 0.704 0.499 0.683 1
O11 0.780 0.000 0.305 1
O12 0.819 0.491 0.961 1
O13 0.912 0.188 0.183 1
O14 0.916 0.188 0.694 1
```



# 5
The following is a simulated PXRD pattern of NaFeS2O8. It was derived from a DFT-relaxed cell (GGA+U, the Materials Project), using Cu Kα (weighted mean of Kα1 and Kα2).

Principal peaks in the range 10° ≤ 2θ ≤ 80°, most intense first:
| index | d (Å) | 2theta | I_rel |
| --- | --- | --- | --- |
| 2 1 2 | 2.955 | 30.2 | 100 |
| 1 0 1 | 7.188 | 12.3 | 50 |
| 4 0 1 | 3.291 | 27.1 | 41 |
| 1 1 1 | 4.208 | 21.1 | 41 |
| 3 0 1 | 4.143 | 21.4 | 35 |
| 2 1 1 | 3.751 | 23.7 | 33 |
| 0 2 0 | 2.595 | 34.6 | 24 |
| 5 1 1 | 2.406 | 37.4 | 20 |
| 1 1 2 | 3.164 | 28.2 | 17 |
| 3 2 3 | 1.760 | 51.9 | 13 |

Structure:
```
data_NaFeS2O8
_chemical_formula_sum 'Na4 Fe4 S8 O32'
_symmetry_space_group_name_H-M 'P n m a'
_symmetry_Int_Tables_number 62
_cell_length_a 14.336
_cell_length_b 5.191
_cell_length_c 8.309
_cell_angle_alpha 90.00
_cell_angle_beta 90.00
_cell_angle_gamma 90.00
loop_
_symmetry_equiv_pos_as_xyz
'x,y,z'
'-x,-y,-z'
'-x+1/2,-y,z+1/2'
'x+1/2,y,-z+1/2'
'x+1/2,-y+1/2,-z+1/2'
'-x+1/2,y+1/2,z+1/2'
'-x,y+1/2,-z'
'x,-y+1/2,z'
loop_
_atom_site_label
_atom_site_fract_x
_atom_site_fract_y
_atom_site_fract_z
_atom_site_occupancy
Na1 0.080 0.250 0.081 1
Fe1 0.153 0.250 0.504 1
S1 0.059 0.750 0.304 1
S2 0.164 0.750 0.753 1
O1 0.020 0.250 0.580 1
O2 0.029 0.750 0.136 1
O3 0.065 0.750 0.782 1
O4 0.117 0.516 0.332 1
O5 0.195 0.518 0.661 1
O6 0.215 0.750 0.911 1
```



# 6
The following is a simulated PXRD pattern of LiV3OF11. It was derived from a DFT-relaxed cell (GGA+U, the Materials Project), using Cu Kα (weighted mean of Kα1 and Kα2).

Principal peaks in the range 10° ≤ 2θ ≤ 80°, most intense first:
| index | d (Å) | 2theta | I_rel |
| --- | --- | --- | --- |
| 1 1 -2 | 3.536 | 25.2 | 100 |
| 0 0 3 | 5.129 | 17.3 | 60 |
| 2 2 -1 | 1.883 | 48.3 | 18 |
| 1 2 1 | 2.304 | 39.1 | 15 |
| 3 1 -3 | 1.680 | 54.6 | 12 |
| 2 2 2 | 1.768 | 51.7 | 10 |
| 0 0 6 | 2.565 | 35.0 | 10 |
| 1 1 7 | 1.803 | 50.6 | 10 |
| 2 0 -1 | 2.701 | 33.2 | 9 |
| 1 3 -2 | 1.644 | 55.9 | 8 |

Structure:
```
data_LiV3OF11
_chemical_formula_sum 'Li2 V6 O2 F22'
_symmetry_space_group_name_H-M 'P 1 21 1'
_symmetry_Int_Tables_number 4
_cell_length_a 5.403
_cell_length_b 5.254
_cell_length_c 15.617
_cell_angle_alpha 90.00
_cell_angle_beta 99.82
_cell_angle_gamma 90.00
loop_
_symmetry_equiv_pos_as_xyz
'x,y,z'
'-x,y+1/2,-z'
loop_
_atom_site_label
_atom_site_fract_x
_atom_site_fract_y
_atom_site_fract_z
_atom_site_occupancy
Li1 0.209 0.000 0.492 1
V1 0.075 0.306 0.675 1
V2 0.250 0.781 0.000 1
V3 0.402 0.272 0.326 1
O1 0.139 0.059 0.355 1
F1 0.012 0.212 0.549 1
F2 0.041 0.476 0.977 1
F3 0.173 0.355 0.788 1
F4 0.176 0.866 0.889 1
F5 0.187 0.565 0.305 1
F6 0.303 0.993 0.683 1
F7 0.320 0.698 0.111 1
F8 0.362 0.205 0.215 1
F9 0.374 0.483 0.647 1
F10 0.460 0.086 0.023 1
F11 0.480 0.353 0.445 1
```



# 7
The following is a simulated PXRD pattern of MgMn4Si8O22. It was derived from a DFT-relaxed cell (GGA+U, the Materials Project), using Cu Kα (weighted mean of Kα1 and Kα2).

Principal peaks in the range 10° ≤ 2θ ≤ 80°, most intense first:
| index | d (Å) | 2theta | I_rel |
| --- | --- | --- | --- |
| 0 0 1 | 8.280 | 10.7 | 100 |
| 2 -2 0 | 3.012 | 29.7 | 96 |
| 0 1 2 | 3.234 | 27.6 | 94 |
| 2 1 -1 | 2.763 | 32.4 | 68 |
| 1 2 -1 | 2.870 | 31.2 | 53 |
| 0 1 0 | 7.107 | 12.5 | 52 |
| 0 2 1 | 2.998 | 29.8 | 43 |
| 2 -1 0 | 3.483 | 25.6 | 38 |
| 0 1 -3 | 2.829 | 31.6 | 35 |
| 0 2 -1 | 3.619 | 24.6 | 32 |

Structure:
```
data_MgMn4Si8O22
_chemical_formula_sum 'Mg1 Mn4 Si8 O22'
_symmetry_space_group_name_H-M 'P -1'
_symmetry_Int_Tables_number 2
_cell_length_a 7.152
_cell_length_b 7.753
_cell_length_c 8.752
_cell_angle_alpha 99.98
_cell_angle_beta 101.81
_cell_angle_gamma 108.50
loop_
_symmetry_equiv_pos_as_xyz
'x,y,z'
'-x,-y,-z'
loop_
_atom_site_label
_atom_site_fract_x
_atom_site_fract_y
_atom_site_fract_z
_atom_site_occupancy
Mg1 0.000 0.000 0.000 1
Mn1 0.148 0.842 0.624 1
Mn2 0.346 0.120 0.401 1
Si1 0.031 0.297 0.762 1
Si2 0.242 0.518 0.395 1
Si3 0.257 0.854 0.041 1
Si4 0.465 0.296 0.778 1
O1 0.021 0.537 0.309 1
O2 0.036 0.723 0.070 1
O3 0.092 0.903 0.376 1
O4 0.175 0.900 0.871 1
O5 0.182 0.311 0.430 1
O6 0.277 0.350 0.817 1
O7 0.302 0.057 0.170 1
O8 0.363 0.704 0.551 1
O9 0.377 0.527 0.263 1
O10 0.392 0.107 0.629 1
O11 0.421 0.752 0.060 1
```



# 8
The following is a simulated PXRD pattern of MgFe3Pb4ClO8. It was derived from a DFT-relaxed cell (GGA+U, the Materials Project), using Cu Kα (weighted mean of Kα1 and Kα2).

Principal peaks in the range 10° ≤ 2θ ≤ 80°, most intense first:
| index | d (Å) | 2theta | I_rel |
| --- | --- | --- | --- |
| 0 1 4 | 2.979 | 30.0 | 100 |
| 1 0 4 | 2.964 | 30.2 | 97 |
| 1 1 0 | 2.835 | 31.6 | 85 |
| 1 -1 0 | 2.858 | 31.3 | 80 |
| 1 0 0 | 4.006 | 22.2 | 72 |
| 0 1 0 | 4.044 | 22.0 | 70 |
| 1 0 -5 | 2.646 | 33.9 | 69 |
| 0 1 -5 | 2.657 | 33.7 | 67 |
| 0 0 5 | 3.524 | 25.3 | 49 |
| 2 0 0 | 2.003 | 45.3 | 42 |

Structure:
```
data_MgFe3Pb4ClO8
_chemical_formula_sum 'Mg1 Fe3 Pb4 Cl1 O8'
_symmetry_space_group_name_H-M 'P 1'
_symmetry_Int_Tables_number 1
_cell_length_a 4.007
_cell_length_b 4.045
_cell_length_c 17.621
_cell_angle_alpha 90.08
_cell_angle_beta 90.05
_cell_angle_gamma 90.46
loop_
_symmetry_equiv_pos_as_xyz
'x,y,z'
loop_
_atom_site_label
_atom_site_fract_x
_atom_site_fract_y
_atom_site_fract_z
_atom_site_occupancy
Mg1 0.000 0.000 0.000 1
Fe1 0.492 0.380 0.500 1
Fe2 0.504 0.373 0.272 1
Fe3 0.509 0.379 0.728 1
Pb1 0.003 0.873 0.165 1
Pb2 0.008 0.879 0.835 1
Pb3 0.040 0.821 0.397 1
Pb4 0.052 0.832 0.603 1
Cl1 0.504 0.380 0.000 1
O1 0.001 0.377 0.224 1
O2 0.006 0.383 0.775 1
O3 0.442 0.900 0.500 1
O4 0.456 0.415 0.618 1
O5 0.463 0.422 0.382 1
O6 0.503 0.877 0.226 1
O7 0.507 0.882 0.774 1
O8 0.976 0.436 0.500 1
```